# 1
# LiGdScGe
Simulated powder X-ray diffraction pattern, Cu Kα X-rays. Input: a structure optimized by DFT (PBE).

Structural model:
```
data_LiGdScGe
_chemical_formula_sum 'Li4 Gd4 Sc4 Ge4'
_cell_length_a 6.927
_cell_length_b 6.927
_cell_length_c 6.927
_cell_angle_alpha 90.00
_cell_angle_beta 90.00
_cell_angle_gamma 90.00
_symmetry_space_group_name_H-M 'P 1'
_symmetry_Int_Tables_number 1
loop_
_symmetry_equiv_pos_as_xyz
'x,y,z'
loop_
_atom_site_label
_atom_site_fract_x
_atom_site_fract_y
_atom_site_fract_z
_atom_site_occupancy
Li1 0.000 0.000 0.000 1
Li2 0.000 0.500 0.500 1
Li3 0.500 0.000 0.500 1
Li4 0.500 0.500 0.000 1
Gd1 0.250 0.250 0.250 1
Gd2 0.250 0.750 0.750 1
Gd3 0.750 0.250 0.750 1
Gd4 0.750 0.750 0.250 1
Sc1 0.250 0.250 0.750 1
Sc2 0.250 0.750 0.250 1
Sc3 0.750 0.250 0.250 1
Sc4 0.750 0.750 0.750 1
Ge1 0.000 0.000 0.500 1
Ge2 0.000 0.500 0.000 1
Ge3 0.500 0.000 0.000 1
Ge4 0.500 0.500 0.500 1
```

Largest 6 diffraction maxima, in order of rising 2θ, 2θ from 10° to 90°:
2theta	d_spacing	I (rel.)
22.23	4.000	51
25.72	3.464	23
36.69	2.449	100
43.32	2.089	28
52.87	1.732	17
66.08	1.414	35

# 2
# ThZn6Pd6
Simulated powder X-ray diffraction pattern, Cu Kα X-rays. Input: a structure optimized by DFT (PBE).

Structural model:
```
data_ThZn6Pd6
_chemical_formula_sum 'Th1 Zn6 Pd6'
_cell_length_a 6.808
_cell_length_b 6.808
_cell_length_c 6.808
_cell_angle_alpha 134.45
_cell_angle_beta 98.90
_cell_angle_gamma 98.34
_symmetry_space_group_name_H-M 'P 1'
_symmetry_Int_Tables_number 1
loop_
_symmetry_equiv_pos_as_xyz
'x,y,z'
loop_
_atom_site_label
_atom_site_fract_x
_atom_site_fract_y
_atom_site_fract_z
_atom_site_occupancy
Th1 0.000 0.000 0.000 1
Zn1 0.000 0.000 0.500 1
Zn2 0.000 0.500 0.000 1
Zn3 0.244 0.744 0.500 1
Zn4 0.500 0.000 0.000 1
Zn5 0.500 0.500 0.500 1
Zn6 0.756 0.256 0.500 1
Pd1 0.183 0.500 0.683 1
Pd2 0.338 0.000 0.338 1
Pd3 0.342 0.342 0.000 1
Pd4 0.658 0.658 0.000 1
Pd5 0.662 0.000 0.662 1
Pd6 0.817 0.500 0.317 1
```

Largest 6 diffraction maxima, in order of rising 2θ, 2θ from 10° to 90°:
2theta	d_spacing	I (rel.)
34.01	2.636	29
34.85	2.575	53
39.77	2.266	64
40.45	2.230	100
40.53	2.226	29
44.91	2.018	28

# 3
# Sm4Cu5P7
Simulated powder X-ray diffraction pattern, Cu Kα X-rays. Input: a structure optimized by DFT (PBE).

Structural model:
```
data_Sm4Cu5P7
_chemical_formula_sum 'Sm4 Cu5 P7'
_cell_length_a 10.599
_cell_length_b 10.599
_cell_length_c 10.599
_cell_angle_alpha 150.78
_cell_angle_beta 150.78
_cell_angle_gamma 41.79
_symmetry_space_group_name_H-M 'P 1'
_symmetry_Int_Tables_number 1
loop_
_symmetry_equiv_pos_as_xyz
'x,y,z'
loop_
_atom_site_label
_atom_site_fract_x
_atom_site_fract_y
_atom_site_fract_z
_atom_site_occupancy
Sm1 0.125 0.641 0.000 1
Sm2 0.359 0.359 0.484 1
Sm3 0.641 0.125 0.000 1
Sm4 0.875 0.875 0.516 1
Cu1 0.249 0.249 0.000 1
Cu2 0.250 0.750 0.500 1
Cu3 0.500 0.500 0.000 1
Cu4 0.750 0.250 0.500 1
Cu5 0.751 0.751 0.000 1
P1 0.000 0.000 0.000 1
P2 0.000 0.500 0.500 1
P3 0.079 0.079 0.508 1
P4 0.429 0.921 0.000 1
P5 0.500 0.000 0.500 1
P6 0.571 0.571 0.492 1
P7 0.921 0.429 0.000 1
```

Largest 6 diffraction maxima, in order of rising 2θ, 2θ from 10° to 90°:
2theta	d_spacing	I (rel.)
25.22	3.532	64
36.13	2.486	39
36.29	2.476	21
38.26	2.352	100
48.14	1.890	30
83.12	1.162	20

# 4
# Pm4Y8Ho3
Simulated powder X-ray diffraction pattern, Cu Kα X-rays. Input: a structure optimized by DFT (PBE).

Structural model:
```
data_Pm4Y8Ho3
_chemical_formula_sum 'Pm4 Y8 Ho3'
_cell_length_a 12.494
_cell_length_b 12.494
_cell_length_c 12.494
_cell_angle_alpha 32.49
_cell_angle_beta 32.49
_cell_angle_gamma 32.49
_symmetry_space_group_name_H-M 'P 1'
_symmetry_Int_Tables_number 1
loop_
_symmetry_equiv_pos_as_xyz
'x,y,z'
loop_
_atom_site_label
_atom_site_fract_x
_atom_site_fract_y
_atom_site_fract_z
_atom_site_occupancy
Pm1 0.000 0.000 0.000 1
Pm2 0.164 0.164 0.164 1
Pm3 0.500 0.500 0.500 1
Pm4 0.836 0.836 0.836 1
Y1 0.250 0.250 0.748 1
Y2 0.250 0.748 0.250 1
Y3 0.252 0.750 0.750 1
Y4 0.255 0.255 0.255 1
Y5 0.745 0.745 0.745 1
Y6 0.748 0.250 0.250 1
Y7 0.750 0.252 0.750 1
Y8 0.750 0.750 0.252 1
Ho1 0.000 0.500 0.500 1
Ho2 0.500 0.000 0.500 1
Ho3 0.500 0.500 0.000 1
```

Largest 6 diffraction maxima, in order of rising 2θ, 2θ from 10° to 90°:
2theta	d_spacing	I (rel.)
29.66	3.012	48
30.23	2.956	64
31.23	2.864	100
35.92	2.500	74
52.36	1.747	42
61.66	1.504	49